Structure and theoretical X-ray powder pattern of H4Pd3 (a crystal structure in Alexandria, relaxed with GGA-PBE; Cu Kα (weighted mean of Kα1 and Kα2)).
Intensities are scaled so that the largest is 100.

Peak list (8 most intense, 10 to 90 degrees two-theta, in order of rising 2θ)
22.4°, rel. 38; 31.9°, rel. 31; 39.3°, rel. 100; 45.7°, rel. 51; 51.5°, rel. 16; 56.8°, rel. 12; 66.7°, rel. 32; 80.2°, rel. 37

Structure:
a b c (Å): 3.968 3.968 3.968
angles (deg): 90.00 90.00 90.00
Space group Pm-3m (No. 221)
Symmetry-distinct sites (fractional):
H  0.000  0.000  0.000
H  0.000  0.500  0.500
Pd  0.000  0.000  0.500


Structure and theoretical X-ray powder pattern of H2Pd (a crystal structure in Alexandria, relaxed with GGA-PBE; Cu Kα (weighted mean of Kα1 and Kα2)).
Intensities are scaled so that the largest is 100.

Peak list (8 most intense, 10 to 90 degrees two-theta, in order of rising 2θ)
29.6°, rel. 100; 31.2°, rel. 87; 34.8°, rel. 62; 37.5°, rel. 51; 43.5°, rel. 66; 47.4°, rel. 54; 49.5°, rel. 47; 68.9°, rel. 26

Structure:
a b c (Å): 2.737 2.867 3.205
angles (deg): 90.00 109.70 90.00
Space group Pm (No. 6)
Symmetry-distinct sites (fractional):
H  0.000  0.000  0.000
H  0.163  0.500  0.476
Pd  0.694  0.000  0.420


Structure and theoretical X-ray powder pattern of H3Pd4 (a crystal structure in Alexandria, relaxed with GGA-PBE; Cu Kα (weighted mean of Kα1 and Kα2)).
Intensities are scaled so that the largest is 100.

Peak list (8 most intense, 10 to 90 degrees two-theta, in order of rising 2θ)
34.4°, rel. 46; 37.3°, rel. 40; 39.8°, rel. 100; 40.7°, rel. 85; 41.8°, rel. 38; 65.0°, rel. 20; 71.5°, rel. 17; 72.4°, rel. 17

Structure:
a b c (Å): 7.6798 7.6798 8.4294
angles (deg): 90.00 90.00 120.00
Space group R-3c (No. 167, hexagonal axes)
Symmetry-distinct sites (fractional):
H  0.0000  0.2031  0.2500
Pd  0.0000  0.0000  0.0000
Pd  0.0000  0.2833  0.7500


Structure and theoretical X-ray powder pattern of H7Pd5 (a crystal structure in Alexandria, relaxed with GGA-PBE; Cu Kα (weighted mean of Kα1 and Kα2)).
Intensities are scaled so that the largest is 100.

Peak list (8 most intense, 10 to 90 degrees two-theta, in order of rising 2θ)
36.1°, rel. 100; 36.5°, rel. 57; 37.8°, rel. 47; 39.4°, rel. 24; 42.6°, rel. 26; 45.5°, rel. 21; 47.9°, rel. 21; 64.2°, rel. 20

Structure:
a b c (Å): 9.520 2.869 7.606
angles (deg): 90.00 107.58 90.00
Space group C2/m (No. 12)
Symmetry-distinct sites (fractional):
H  0.000  0.000  0.000
H  0.049  0.500  0.282
H  0.138  0.000  0.527
H  0.223  0.000  0.858
Pd  0.000  0.500  0.500
Pd  0.114  0.500  0.919
Pd  0.182  0.000  0.306


Structure and theoretical X-ray powder pattern of HPd (a crystal structure in Alexandria, relaxed with GGA-PBE; Cu Kα (weighted mean of Kα1 and Kα2)).
Intensities are scaled so that the largest is 100.

Peak list (8 most intense, 10 to 90 degrees two-theta, in order of rising 2θ)
37.6°, rel. 100; 43.1°, rel. 36; 45.1°, rel. 16; 62.5°, rel. 11; 64.1°, rel. 21; 75.3°, rel. 25; 78.2°, rel. 12; 80.4°, rel. 11

Structure:
a b c (Å): 2.970 2.970 8.048
angles (deg): 90.00 90.00 90.00
Space group P4_32_12 (No. 96)
Symmetry-distinct sites (fractional):
H  0.047  0.047  0.000
Pd  0.005  0.995  0.750


Structure and theoretical X-ray powder pattern of PmH6Pd7 (a crystal structure in Alexandria, relaxed with GGA-PBE; Cu Kα (weighted mean of Kα1 and Kα2)).
Intensities are scaled so that the largest is 100.

Peak list (8 most intense, 10 to 90 degrees two-theta, in order of rising 2θ)
36.7°, rel. 35; 37.3°, rel. 100; 43.2°, rel. 68; 62.3°, rel. 22; 63.2°, rel. 21; 74.6°, rel. 13; 75.3°, rel. 25; 75.7°, rel. 12

Structure:
a b c (Å): 5.0983 5.0983 22.0367
angles (deg): 90.00 90.00 120.00
Space group R3 (No. 146, hexagonal axes)
Symmetry-distinct sites (fractional):
Pm  0.0000  0.0000  0.0000
H  0.0009  0.3289  0.2502
H  0.0016  0.6797  0.4157
Pd  0.0000  0.0000  0.6666
Pd  0.0011  0.3289  0.7787
Pd  0.0046  0.6697  0.2210